[1]
# Y2OsC2
Simulated PXRD pattern, copper Kα. Input: the PBE geometry in the Materials Project.
Lines closer than 0.1° are merged.

Peak list (6 most intense, 2θ = 5–70°, sorted by position)
19.48°, I 29; 22.73°, I 37; 32.38°, I 60; 34.03°, I 100; 34.89°, I 67; 35.31°, I 70

Crystal structure
```
data_Y2OsC2
_cell_length_a 6.457
_cell_length_b 5.143
_cell_length_c 9.837
_cell_angle_alpha 90.00
_cell_angle_beta 90.00
_cell_angle_gamma 90.00
_symmetry_space_group_name_H-M 'P n m a'
_symmetry_Int_Tables_number 62
loop_
_symmetry_equiv_pos_as_xyz
'x,y,z'
'-x,-y,-z'
'-x+1/2,-y,z+1/2'
'x+1/2,y,-z+1/2'
'x+1/2,-y+1/2,-z+1/2'
'-x+1/2,y+1/2,z+1/2'
'-x,y+1/2,-z'
'x,-y+1/2,z'
loop_
_atom_site_label
_atom_site_type_symbol
_atom_site_fract_x
_atom_site_fract_y
_atom_site_fract_z
Y1 Y 0.023 0.250 0.222
Y2 Y 0.187 0.250 0.552
Os1 Os 0.229 0.250 0.864
C1 C 0.034 0.750 0.242
C2 C 0.178 0.750 0.551
```


[2]
# CeRh2
Simulated PXRD pattern, copper Kα. Input: the PBE geometry in the Materials Project.
Lines closer than 0.1° are merged.

Peak list (6 most intense, 2θ = 5–70°, sorted by position)
33.39°, I 37; 39.37°, I 100; 41.20°, I 31; 47.94°, I 2; 59.67°, I 14; 63.70°, I 32

Crystal structure
Cell lengths 7.591, 7.591, 7.591 Å; angles 90.00, 90.00, 90.00 degrees
Space group Fd-3m (No. 227, origin choice 2)
One atom of each set of equivalent atoms:
Ce  0.125  0.125  0.125 [8 per cell]
Rh  0.000  0.000  0.500 [16 per cell]


[3]
# Zr7N2O11
Simulated PXRD pattern, copper Kα. Input: the PBE geometry in the Materials Project.
Lines closer than 0.1° are merged.

Peak list (6 most intense, 2θ = 5–70°, sorted by position)
29.68°, I 50; 29.86°, I 100; 30.04°, I 52; 34.68°, I 31; 49.85°, I 33; 59.29°, I 18

Crystal structure
```
data_Zr7N2O11
_cell_length_a 8.158
_cell_length_b 8.182
_cell_length_c 8.202
_cell_angle_alpha 73.16
_cell_angle_beta 72.95
_cell_angle_gamma 72.69
_symmetry_space_group_name_H-M 'P 1'
_symmetry_Int_Tables_number 1
loop_
_symmetry_equiv_pos_as_xyz
'x,y,z'
loop_
_atom_site_label
_atom_site_type_symbol
_atom_site_fract_x
_atom_site_fract_y
_atom_site_fract_z
Zr1 Zr 0.000 0.000 0.000
Zr2 Zr 0.005 0.841 0.637
Zr3 Zr 0.090 0.582 0.288
Zr4 Zr 0.156 0.387 0.923
Zr5 Zr 0.211 0.185 0.587
Zr6 Zr 0.321 0.948 0.246
Zr7 Zr 0.395 0.695 0.888
Zr8 Zr 0.439 0.499 0.539
Zr9 Zr 0.523 0.317 0.176
Zr10 Zr 0.605 0.098 0.794
Zr11 Zr 0.688 0.883 0.411
Zr12 Zr 0.749 0.700 0.043
Zr13 Zr 0.804 0.489 0.714
Zr14 Zr 0.890 0.229 0.339
N1 N 0.350 0.263 0.719
N2 N 0.629 0.514 0.972
N3 N 0.771 0.022 0.546
N4 N 0.844 0.930 0.875
O1 O 0.109 0.049 0.447
O2 O 0.115 0.146 0.122
O3 O 0.197 0.938 0.766
O4 O 0.213 0.806 0.109
O5 O 0.243 0.726 0.440
O6 O 0.274 0.592 0.762
O7 O 0.285 0.478 0.077
O8 O 0.314 0.408 0.390
O9 O 0.437 0.060 0.406
O10 O 0.476 0.147 0.055
O11 O 0.527 0.864 0.917
O12 O 0.564 0.775 0.262
O13 O 0.576 0.694 0.622
O14 O 0.642 0.397 0.342
O15 O 0.655 0.345 0.683
O16 O 0.776 0.128 0.187
O17 O 0.887 0.794 0.197
O18 O 0.913 0.690 0.514
O19 O 0.951 0.596 0.826
O20 O 0.953 0.477 0.158
O21 O 0.991 0.368 0.484
O22 O 0.996 0.261 0.825
```


[4]
# MgSi2
Simulated PXRD pattern, copper Kα. Input: the PBE geometry in the Materials Project.
Lines closer than 0.1° are merged.

Peak list (6 most intense, 2θ = 5–70°, sorted by position)
18.68°, I 21; 30.25°, I 64; 35.36°, I 100; 37.48°, I 25; 44.75°, I 66; 48.57°, I 77

Crystal structure
```
data_MgSi2
_cell_length_a 3.7491
_cell_length_b 3.7491
_cell_length_c 28.4961
_cell_angle_alpha 90.00
_cell_angle_beta 90.00
_cell_angle_gamma 120.00
_symmetry_space_group_name_H-M 'R -3 m'
_symmetry_Int_Tables_number 166
_symmetry_space_group_name_Hall '-R 3 2"'
loop_
_atom_site_label
_atom_site_type_symbol
_atom_site_fract_x
_atom_site_fract_y
_atom_site_fract_z
Mg1 Mg 0.0000 0.0000 0.0823
Si1 Si 0.0000 0.0000 0.1852
Si2 Si 0.0000 0.0000 0.3513
```


[5]
# YMg
Simulated PXRD pattern, copper Kα. Input: the PBE geometry in the Materials Project.
Lines closer than 0.1° are merged.

Peak list (6 most intense, 2θ = 5–70°, sorted by position)
19.06°, I 29; 26.00°, I 19; 32.60°, I 34; 34.19°, I 100; 34.76°, I 30; 59.20°, I 19

Crystal structure
```
data_YMg
_cell_length_a 5.493
_cell_length_b 3.471
_cell_length_c 17.541
_cell_angle_alpha 90.00
_cell_angle_beta 90.00
_cell_angle_gamma 90.00
_symmetry_space_group_name_H-M 'A m m 2'
_symmetry_Int_Tables_number 38
loop_
_symmetry_equiv_pos_as_xyz
'x,y,z'
'-x,-y,z'
'-x,y,z'
'x,-y,z'
'x,y+1/2,z+1/2'
'-x,-y+1/2,z+1/2'
'-x,y+1/2,z+1/2'
'x,-y+1/2,z+1/2'
loop_
_atom_site_label
_atom_site_type_symbol
_atom_site_fract_x
_atom_site_fract_y
_atom_site_fract_z
Y1 Y 0.000 0.000 0.000
Y2 Y 0.000 0.000 0.324
Y3 Y 0.500 0.000 0.202
Mg1 Mg 0.000 0.000 0.658
Mg2 Mg 0.500 0.000 0.541
Mg3 Mg 0.500 0.000 0.881
```


[6]
# TeMoS
Simulated PXRD pattern, copper Kα. Input: the PBE geometry in the Materials Project.
Lines closer than 0.1° are merged.

Peak list (6 most intense, 2θ = 5–70°, sorted by position)
6.67°, I 40; 11.14°, I 100; 30.74°, I 54; 35.75°, I 86; 42.90°, I 56; 54.61°, I 36

Crystal structure
```
data_TeMoS
_cell_length_a 3.3618
_cell_length_b 3.3618
_cell_length_c 39.7300
_cell_angle_alpha 90.00
_cell_angle_beta 90.00
_cell_angle_gamma 120.00
_symmetry_space_group_name_H-M 'P 3 m 1'
_symmetry_Int_Tables_number 156
loop_
_symmetry_equiv_pos_as_xyz
'x,y,z'
'-y,x-y,z'
'-x+y,-x,z'
'-y,-x,z'
'-x+y,y,z'
'x,x-y,z'
loop_
_atom_site_label
_atom_site_type_symbol
_atom_site_fract_x
_atom_site_fract_y
_atom_site_fract_z
Te1 Te 0.0000 0.0000 0.0000
Te2 Te 0.0000 0.0000 0.0950
Te3 Te 0.3333 0.6667 0.8085
Te4 Te 0.3333 0.6667 0.9036
Mo1 Mo 0.0000 0.0000 0.4821
Mo2 Mo 0.0000 0.0000 0.8561
Mo3 Mo 0.3333 0.6667 0.0475
Mo4 Mo 0.3333 0.6667 0.6698
S1 S 0.0000 0.0000 0.6317
S2 S 0.0000 0.0000 0.7079
S3 S 0.3333 0.6667 0.4440
S4 S 0.3333 0.6667 0.5202
```


[7]
# LaOsN3
Simulated PXRD pattern, copper Kα. Input: the PBE geometry in the Materials Project.
Lines closer than 0.1° are merged.

Peak list (6 most intense, 2θ = 5–70°, sorted by position)
22.51°, I 5; 32.04°, I 100; 45.94°, I 25; 51.74°, I 2; 57.11°, I 40; 67.00°, I 16

Crystal structure
```
data_LaOsN3
_cell_length_a 3.951
_cell_length_b 3.951
_cell_length_c 3.951
_cell_angle_alpha 90.00
_cell_angle_beta 90.00
_cell_angle_gamma 90.00
_symmetry_space_group_name_H-M 'P m -3 m'
_symmetry_Int_Tables_number 221
_symmetry_space_group_name_Hall '-P 4 2 3'
loop_
_atom_site_label
_atom_site_type_symbol
_atom_site_fract_x
_atom_site_fract_y
_atom_site_fract_z
La1 La 0.000 0.000 0.000
Os1 Os 0.500 0.500 0.500
N1 N 0.000 0.500 0.500
```


What did the fifth record say?
# YMg
Simulated PXRD pattern, copper Kα. Input: the PBE geometry in the Materials Project.
Lines closer than 0.1° are merged.

Peak list (6 most intense, 2θ = 5–70°, sorted by position)
19.06°, I 29; 26.00°, I 19; 32.60°, I 34; 34.19°, I 100; 34.76°, I 30; 59.20°, I 19

Crystal structure
```
data_YMg
_cell_length_a 5.493
_cell_length_b 3.471
_cell_length_c 17.541
_cell_angle_alpha 90.00
_cell_angle_beta 90.00
_cell_angle_gamma 90.00
_symmetry_space_group_name_H-M 'A m m 2'
_symmetry_Int_Tables_number 38
loop_
_symmetry_equiv_pos_as_xyz
'x,y,z'
'-x,-y,z'
'-x,y,z'
'x,-y,z'
'x,y+1/2,z+1/2'
'-x,-y+1/2,z+1/2'
'-x,y+1/2,z+1/2'
'x,-y+1/2,z+1/2'
loop_
_atom_site_label
_atom_site_type_symbol
_atom_site_fract_x
_atom_site_fract_y
_atom_site_fract_z
Y1 Y 0.000 0.000 0.000
Y2 Y 0.000 0.000 0.324
Y3 Y 0.500 0.000 0.202
Mg1 Mg 0.000 0.000 0.658
Mg2 Mg 0.500 0.000 0.541
Mg3 Mg 0.500 0.000 0.881
```